The following is a theoretical X-ray diffraction stick pattern of NaSbS3. It was derived from the GGA-PBE geometry in Alexandria, using Cu Kα (λ = 1.5418 Å).

Top 12 peaks for 2θ = 15–90°, sorted by position:
5.171 Å, I = 100.0; 4.315 Å, I = 24.9; 3.951 Å, I = 49.6; 3.610 Å, I = 26.6; 3.528 Å, I = 33.8; 3.296 Å, I = 44.9; 3.241 Å, I = 57.6; 3.131 Å, I = 59.1; 2.311 Å, I = 29.3; 2.270 Å, I = 23.0; 2.007 Å, I = 23.1; 1.944 Å, I = 29.7

Lattice parameters (Å, degrees): 4.940 6.592 8.342 90.00 92.01 90.00
Element x y z (fractional)
Na  0.213  0.000  0.321
Na  0.787  0.500  0.679
Sb  0.249  0.031  0.850
Sb  0.751  0.531  0.150
S  0.098  0.598  0.387
S  0.339  0.387  0.868
S  0.421  0.406  0.365
S  0.579  0.906  0.635
S  0.661  0.887  0.132
S  0.902  0.098  0.613

***

The following is a theoretical X-ray diffraction stick pattern of NaSiSbS4. It was derived from the GGA-PBE geometry in Alexandria, using Cu Kα (λ = 1.5418 Å).

Top 12 peaks for 2θ = 15–90°, sorted by position:
5.007 Å, I = 64.6; 4.687 Å, I = 37.4; 4.358 Å, I = 68.0; 3.662 Å, I = 68.8; 3.549 Å, I = 95.5; 3.307 Å, I = 100.0; 3.058 Å, I = 80.9; 2.624 Å, I = 73.0; 2.503 Å, I = 33.4; 2.180 Å, I = 45.8; 2.039 Å, I = 36.9; 1.974 Å, I = 65.8

Lattice parameters (Å, degrees): 6.658 6.658 8.715 90.00 90.00 113.26
Element x y z (fractional)
Na  0.000  0.000  0.000
Na  0.000  0.000  0.500
Si  0.374  0.626  0.750
Si  0.626  0.374  0.250
Sb  0.329  0.671  0.250
Sb  0.671  0.329  0.750
S  0.264  0.736  0.556
S  0.264  0.736  0.944
S  0.271  0.277  0.250
S  0.277  0.271  0.750
S  0.723  0.729  0.250
S  0.729  0.723  0.750
S  0.736  0.264  0.056
S  0.736  0.264  0.444

***

The following is a theoretical X-ray diffraction stick pattern of Na3Tl3SbS8. It was derived from the GGA-PBE geometry in Alexandria, using Cu Kα (λ = 1.5418 Å).

Top 12 peaks for 2θ = 15–90°, sorted by position:
3.426 Å, I = 13.8; 3.347 Å, I = 55.0; 3.222 Å, I = 34.4; 2.831 Å, I = 100.0; 2.617 Å, I = 23.8; 2.221 Å, I = 25.4; 2.049 Å, I = 37.2; 1.959 Å, I = 33.7; 1.883 Å, I = 26.6; 1.701 Å, I = 13.1; 1.611 Å, I = 17.5; 1.290 Å, I = 15.2

Lattice parameters (Å, degrees): 7.838 7.838 8.214 118.53 118.53 59.92
Element x y z (fractional)
Na  0.000  0.000  0.000
Na  0.000  0.500  0.000
Na  0.500  0.000  0.000
Tl  0.000  0.500  0.500
Tl  0.500  0.000  0.500
Tl  0.500  0.500  0.500
Sb  0.000  0.000  0.500
S  0.232  0.232  0.723
S  0.232  0.760  0.723
S  0.240  0.768  0.277
S  0.259  0.259  0.277
S  0.741  0.741  0.723
S  0.760  0.232  0.723
S  0.768  0.240  0.277
S  0.768  0.768  0.277

***

The following is a theoretical X-ray diffraction stick pattern of Na2USbS5. It was derived from the GGA-PBE geometry in Alexandria, using Cu Kα (λ = 1.5418 Å).

Top 12 peaks for 2θ = 15–90°, sorted by position:
5.305 Å, I = 90.3; 4.143 Å, I = 38.5; 3.818 Å, I = 54.4; 3.445 Å, I = 38.4; 3.195 Å, I = 78.4; 3.008 Å, I = 100.0; 2.565 Å, I = 27.0; 2.268 Å, I = 46.3; 2.248 Å, I = 43.9; 2.046 Å, I = 26.3; 2.027 Å, I = 31.8; 1.884 Å, I = 37.7

Lattice parameters (Å, degrees): 8.535 8.535 13.813 90.00 90.00 152.26
Element x y z (fractional)
Na  0.077  0.923  0.500
Na  0.129  0.871  0.144
Na  0.871  0.129  0.644
Na  0.923  0.077  0.000
U  0.239  0.761  0.882
U  0.761  0.239  0.382
Sb  0.454  0.546  0.278
Sb  0.546  0.454  0.778
S  0.084  0.916  0.905
S  0.252  0.748  0.504
S  0.289  0.711  0.257
S  0.388  0.612  0.841
S  0.496  0.504  0.612
S  0.504  0.496  0.112
S  0.612  0.388  0.341
S  0.711  0.289  0.757
S  0.748  0.252  0.004
S  0.916  0.084  0.405